Entry 1:
The following is a calculated powder diffractogram of Ba7Al10. It was derived from a PBE-relaxed structure, using CuKα.
No peak broadening, texture or thermal motion is included.

Top 10 peaks for 10 to 90 degrees two-theta, sorted by position:
2θ = 21.11°, rel. 22, hkl 1 0 7
2θ = 22.23°, rel. 18, hkl 0 1 8
2θ = 24.73°, rel. 23, hkl 1 0 10
2θ = 28.96°, rel. 36, hkl 1 0 13
2θ = 29.57°, rel. 100, hkl 1 1 0
2θ = 30.47°, rel. 30, hkl 0 1 14
2θ = 33.60°, rel. 20, hkl 1 0 16
2θ = 36.85°, rel. 33, hkl 1 1 12
2θ = 52.47°, rel. 20, hkl 3 0 0
2θ = 61.38°, rel. 18, hkl 2 2 0

a = 6.0416 Å, b = 6.0416 Å, c = 49.6105 Å
α = 90.00°, β = 90.00°, γ = 120.00°
Space group R-3m (No. 166, hexagonal axes)
Inequivalent atoms, fractional coordinates:
Ba  0.0000  0.0000  0.0000
Ba  0.0000  0.0000  0.1407
Ba  0.0000  0.0000  0.3708
Ba  0.0000  0.0000  0.4476
Al  0.0000  0.0000  0.2161
Al  0.0000  0.0000  0.2990
Al  0.0152  0.5076  0.5911

***

Entry 2:
The following is a calculated powder diffractogram of BaAlCuBiO5. It was derived from a PBE-relaxed structure, using CuKα.
No peak broadening, texture or thermal motion is included.

Top 10 peaks for 10 to 90 degrees two-theta, sorted by position:
2θ = 18.94°, rel. 25, hkl 0 0 2
2θ = 25.66°, rel. 82, hkl 1 0 1
2θ = 28.57°, rel. 28, hkl 0 0 3
2θ = 30.59°, rel. 100, hkl 1 0 2
2θ = 33.91°, rel. 50, hkl 1 1 0
2θ = 44.92°, rel. 37, hkl 1 1 3
2θ = 45.70°, rel. 24, hkl 1 0 4
2θ = 48.72°, rel. 32, hkl 2 0 0
2θ = 55.86°, rel. 21, hkl 2 1 1
2θ = 58.63°, rel. 32, hkl 2 1 2

a = 3.7382 Å, b = 3.7382 Å, c = 9.3716 Å
α = 90.00°, β = 90.00°, γ = 90.00°
Space group P4mm (No. 99)
Inequivalent atoms, fractional coordinates:
Ba  0.0000  0.0000  0.0000
Al  0.0000  0.0000  0.3867
Cu  0.5000  0.5000  0.2235
Bi  0.5000  0.5000  0.6421
O  0.0000  0.5000  0.2509
O  0.0000  0.5000  0.5106
O  0.5000  0.5000  0.9145

***

Entry 3:
The following is a calculated powder diffractogram of Ba2AlBi3O8. It was derived from a PBE-relaxed structure, using CuKα.
No peak broadening, texture or thermal motion is included.

Top 10 peaks for 10 to 90 degrees two-theta, sorted by position:
2θ = 20.60°, rel. 20, hkl 1 0 0
2θ = 28.54°, rel. 100, hkl 1 0 3
2θ = 29.29°, rel. 47, hkl 1 1 0
2θ = 39.67°, rel. 15, hkl 0 0 6
2θ = 41.90°, rel. 28, hkl 2 0 0
2θ = 50.07°, rel. 24, hkl 1 1 6
2θ = 51.48°, rel. 45, hkl 2 1 3
2θ = 59.07°, rel. 11, hkl 2 0 6
2θ = 68.47°, rel. 13, hkl 3 0 3
2θ = 83.61°, rel. 12, hkl 3 2 3

a = 4.3120 Å, b = 4.3120 Å, c = 13.6327 Å
α = 90.00°, β = 90.00°, γ = 90.00°
Space group P4/mmm (No. 123)
Inequivalent atoms, fractional coordinates:
Ba  0.0000  0.0000  0.1469
Al  0.0000  0.0000  0.5000
Bi  0.5000  0.5000  0.0000
Bi  0.5000  0.5000  0.3498
O  0.0000  0.5000  0.0000
O  0.0000  0.5000  0.4065
O  0.5000  0.5000  0.1764